(1)
Theoretical PXRD pattern
Compound: Dy3ZnRh3
Radiation: Cu Kα X-rays
Structure: a structure optimized by DFT (PBE)

Principal peaks in the range 10° ≤ 2θ ≤ 90°, in order of falling intensity:
2θ (°)	d/Å	Rel. int.
39.7	2.271	100
35.3	2.543	89
34.2	2.619	66
44.3	2.046	60
30.6	2.920	41
26.8	3.322	34
39.5	2.282	34
35.7	2.513	32
31.5	2.844	24
75.6	1.258	20

Crystal structure
a b c (Å): 5.506 5.506 13.692
angles (deg): 90.00 90.00 136.38
Sites, in units of the cell vectors:
Dy1 0.026 0.974 0.750
Dy2 0.304 0.696 0.604
Dy3 0.304 0.696 0.896
Dy4 0.696 0.304 0.104
Dy5 0.696 0.304 0.396
Dy6 0.974 0.026 0.250
Zn1 0.000 0.000 0.000
Zn2 0.000 0.000 0.500
Rh1 0.248 0.752 0.250
Rh2 0.408 0.592 0.091
Rh3 0.408 0.592 0.409
Rh4 0.592 0.408 0.591
Rh5 0.592 0.408 0.909
Rh6 0.752 0.248 0.750



(2)
Theoretical PXRD pattern
Compound: DyZrRh4
Radiation: Cu Kα X-rays
Structure: a structure optimized by DFT (PBE)

Principal peaks in the range 10° ≤ 2θ ≤ 90°, in order of falling intensity:
2θ (°)	d/Å	Rel. int.
41.8	2.160	100
39.7	2.269	72
30.6	2.920	36
22.6	3.931	21
73.6	1.288	18
51.0	1.791	17
73.2	1.293	17
46.2	1.967	13
80.3	1.196	13
66.4	1.407	11

Crystal structure
a b c (Å): 3.145 4.536 7.867
angles (deg): 90.00 90.09 90.00
Sites, in units of the cell vectors:
Dy1 0.000 0.000 0.000
Zr1 0.500 0.500 0.500
Rh1 0.001 0.500 0.773
Rh2 0.500 0.000 0.299
Rh3 0.500 0.000 0.701
Rh4 0.999 0.500 0.227



(3)
Theoretical PXRD pattern
Compound: Dy3Ru2
Radiation: Cu Kα X-rays
Structure: a structure optimized by DFT (PBE)

Principal peaks in the range 10° ≤ 2θ ≤ 90°, in order of falling intensity:
2θ (°)	d/Å	Rel. int.
30.2	2.961	100
41.0	2.200	61
33.2	2.701	51
36.0	2.493	45
64.7	1.440	30
53.5	1.711	24
38.2	2.354	17
40.7	2.217	13
64.2	1.451	12
64.5	1.444	11

Crystal structure
a b c (Å): 7.616 7.616 4.708
angles (deg): 90.00 90.00 120.00
Sites, in units of the cell vectors:
Dy1 0.078 0.695 0.250
Dy2 0.305 0.384 0.250
Dy3 0.384 0.078 0.750
Dy4 0.616 0.922 0.250
Dy5 0.695 0.616 0.750
Dy6 0.922 0.305 0.750
Ru1 0.000 0.000 0.000
Ru2 0.000 0.000 0.500
Ru3 0.333 0.667 0.750
Ru4 0.667 0.333 0.250



(4)
Theoretical PXRD pattern
Compound: Dy7RuS5
Radiation: Cu Kα X-rays
Structure: a structure optimized by DFT (PBE)

Principal peaks in the range 10° ≤ 2θ ≤ 90°, in order of falling intensity:
2θ (°)	d/Å	Rel. int.
29.9	2.986	100
32.2	2.784	94
33.3	2.691	55
28.6	3.125	49
57.0	1.617	33
47.3	1.923	32
42.3	2.136	31
33.4	2.681	27
28.0	3.190	24
46.6	1.949	24

Crystal structure
a b c (Å): 3.846 23.594 6.719
angles (deg): 90.00 106.59 90.00
Sites, in units of the cell vectors:
Dy1 0.038 0.000 0.075
Dy2 0.132 0.716 0.264
Dy3 0.146 0.288 0.292
Dy4 0.297 0.930 0.593
Dy5 0.310 0.071 0.618
Dy6 0.399 0.633 0.799
Dy7 0.417 0.360 0.836
Dy8 0.583 0.860 0.164
Dy9 0.601 0.133 0.201
Dy10 0.690 0.571 0.382
Dy11 0.703 0.430 0.407
Dy12 0.854 0.788 0.708
Dy13 0.868 0.216 0.736
Dy14 0.962 0.500 0.925
Ru1 0.309 0.508 0.618
Ru2 0.691 0.008 0.382
S1 0.045 0.611 0.092
S2 0.057 0.392 0.116
S3 0.218 0.822 0.435
S4 0.231 0.180 0.461
S5 0.491 0.749 0.982
S6 0.509 0.249 0.018
S7 0.769 0.680 0.539
S8 0.782 0.322 0.565
S9 0.943 0.892 0.884
S10 0.955 0.111 0.908



(5)
Theoretical PXRD pattern
Compound: Dy5Sb2Ru
Radiation: Cu Kα X-rays
Structure: a structure optimized by DFT (PBE)

Principal peaks in the range 10° ≤ 2θ ≤ 90°, in order of falling intensity:
2θ (°)	d/Å	Rel. int.
33.7	2.662	100
31.0	2.882	82
33.3	2.687	65
38.3	2.351	29
34.0	2.635	29
46.7	1.945	24
29.5	3.024	23
56.9	1.618	22
33.2	2.700	18
43.4	2.087	16

Crystal structure
a b c (Å): 5.414 5.414 16.102
angles (deg): 90.00 90.00 115.67
Sites, in units of the cell vectors:
Dy1 0.059 0.941 0.595
Dy2 0.059 0.941 0.905
Dy3 0.256 0.744 0.250
Dy4 0.393 0.607 0.641
Dy5 0.393 0.607 0.859
Dy6 0.607 0.393 0.141
Dy7 0.607 0.393 0.359
Dy8 0.744 0.256 0.750
Dy9 0.941 0.059 0.095
Dy10 0.941 0.059 0.405
Sb1 0.287 0.713 0.057
Sb2 0.287 0.713 0.443
Sb3 0.713 0.287 0.557
Sb4 0.713 0.287 0.943
Ru1 0.104 0.896 0.750
Ru2 0.896 0.104 0.250



(6)
Theoretical PXRD pattern
Compound: Dy12SbRu6
Radiation: Cu Kα X-rays
Structure: a structure optimized by DFT (PBE)

Principal peaks in the range 10° ≤ 2θ ≤ 90°, in order of falling intensity:
2θ (°)	d/Å	Rel. int.
34.1	2.629	100
31.5	2.840	46
57.8	1.596	32
54.4	1.687	25
47.1	1.929	24
36.5	2.460	23
67.3	1.391	20
84.8	1.144	17
28.7	3.111	17
56.1	1.640	13

Crystal structure
a b c (Å): 8.520 8.520 8.520
angles (deg): 109.47 109.47 109.47
Sites, in units of the cell vectors:
Dy1 0.100 0.296 0.804
Dy2 0.196 0.492 0.296
Dy3 0.196 0.900 0.704
Dy4 0.296 0.196 0.492
Dy5 0.296 0.804 0.100
Dy6 0.492 0.296 0.196
Dy7 0.508 0.704 0.804
Dy8 0.704 0.196 0.900
Dy9 0.704 0.804 0.508
Dy10 0.804 0.100 0.296
Dy11 0.804 0.508 0.704
Dy12 0.900 0.704 0.196
Sb1 0.000 0.000 0.000
Ru1 0.124 0.500 0.624
Ru2 0.376 0.876 0.500
Ru3 0.500 0.376 0.876
Ru4 0.500 0.624 0.124
Ru5 0.624 0.124 0.500
Ru6 0.876 0.500 0.376



(7)
Theoretical PXRD pattern
Compound: Dy3Si2Ru
Radiation: Cu Kα X-rays
Structure: a structure optimized by DFT (PBE)

Principal peaks in the range 10° ≤ 2θ ≤ 90°, in order of falling intensity:
2θ (°)	d/Å	Rel. int.
32.2	2.780	100
35.6	2.521	88
27.6	3.228	61
31.0	2.889	57
43.6	2.076	50
32.8	2.727	43
38.9	2.318	39
28.1	3.172	38
24.1	3.690	32
32.0	2.793	31

Crystal structure
a b c (Å): 11.536 4.152 11.227
angles (deg): 90.00 90.00 90.00
Sites, in units of the cell vectors:
Dy1 0.058 0.250 0.122
Dy2 0.122 0.750 0.556
Dy3 0.214 0.250 0.799
Dy4 0.286 0.750 0.299
Dy5 0.378 0.250 0.056
Dy6 0.442 0.750 0.622
Dy7 0.558 0.250 0.378
Dy8 0.622 0.750 0.944
Dy9 0.714 0.250 0.701
Dy10 0.786 0.750 0.201
Dy11 0.878 0.250 0.444
Dy12 0.942 0.750 0.878
Si1 0.019 0.750 0.314
Si2 0.194 0.750 0.993
Si3 0.306 0.250 0.493
Si4 0.481 0.250 0.814
Si5 0.519 0.750 0.186
Si6 0.694 0.750 0.507
Si7 0.806 0.250 0.007
Si8 0.981 0.250 0.686
Ru1 0.128 0.250 0.361
Ru2 0.372 0.750 0.861
Ru3 0.628 0.250 0.139
Ru4 0.872 0.750 0.639



(8)
Theoretical PXRD pattern
Compound: Dy3Si12Ru4
Radiation: Cu Kα X-rays
Structure: a structure optimized by DFT (PBE)

Principal peaks in the range 10° ≤ 2θ ≤ 90°, in order of falling intensity:
2θ (°)	d/Å	Rel. int.
36.5	2.459	100
36.8	2.443	94
35.2	2.548	82
58.9	1.567	59
19.2	4.631	57
23.9	3.725	56
31.1	2.876	51
49.4	1.845	38
45.7	1.987	34
44.5	2.034	34

Crystal structure
a b c (Å): 10.116 10.116 8.138
angles (deg): 90.00 90.00 47.41
Sites, in units of the cell vectors:
Dy1 0.000 0.000 0.000
Dy2 0.003 0.497 0.250
Dy3 0.497 0.003 0.750
Dy4 0.500 0.500 0.500
Dy5 0.503 0.997 0.250
Dy6 0.997 0.503 0.750
Si1 0.111 0.655 0.495
Si2 0.113 0.122 0.728
Si3 0.122 0.113 0.272
Si4 0.155 0.611 0.995
Si5 0.167 0.833 0.667
Si6 0.205 0.205 0.500
Si7 0.295 0.295 0.000
Si8 0.333 0.667 0.167
Si9 0.345 0.889 0.495
Si10 0.378 0.387 0.772
Si11 0.387 0.378 0.228
Si12 0.389 0.845 0.995
Si13 0.611 0.155 0.005
Si14 0.613 0.622 0.772
Si15 0.622 0.613 0.228
Si16 0.655 0.111 0.505
Si17 0.667 0.333 0.833
Si18 0.705 0.705 0.000
Si19 0.795 0.795 0.500
Si20 0.833 0.167 0.333
Si21 0.845 0.389 0.005
Si22 0.878 0.887 0.728
Si23 0.887 0.878 0.272
Si24 0.889 0.345 0.505
Ru1 0.127 0.873 0.373
Ru2 0.169 0.169 0.000
Ru3 0.331 0.331 0.500
Ru4 0.373 0.627 0.873
Ru5 0.627 0.373 0.127
Ru6 0.669 0.669 0.500
Ru7 0.831 0.831 0.000
Ru8 0.873 0.127 0.627



(9)
Theoretical PXRD pattern
Compound: Dy5SnRu2
Radiation: Cu Kα X-rays
Structure: a structure optimized by DFT (PBE)

Principal peaks in the range 10° ≤ 2θ ≤ 90°, in order of falling intensity:
2θ (°)	d/Å	Rel. int.
32.6	2.744	100
36.8	2.440	65
35.2	2.548	33
31.0	2.882	28
42.4	2.134	26
67.2	1.393	21
57.5	1.603	18
26.7	3.345	16
68.7	1.366	16
32.8	2.728	13

Crystal structure
a b c (Å): 8.709 8.709 8.709
angles (deg): 127.40 127.40 77.60
Sites, in units of the cell vectors:
Dy1 0.000 0.000 0.000
Dy2 0.025 0.525 0.817
Dy3 0.208 0.025 0.500
Dy4 0.292 0.792 0.817
Dy5 0.475 0.292 0.500
Dy6 0.500 0.500 0.000
Dy7 0.525 0.708 0.500
Dy8 0.708 0.208 0.183
Dy9 0.792 0.975 0.500
Dy10 0.975 0.475 0.183
Sn1 0.250 0.250 0.000
Sn2 0.750 0.750 0.000
Ru1 0.142 0.358 0.500
Ru2 0.358 0.858 0.217
Ru3 0.642 0.142 0.783
Ru4 0.858 0.642 0.500



(10)
Theoretical PXRD pattern
Compound: Tb2Dy5Ru5
Radiation: Cu Kα X-rays
Structure: a structure optimized by DFT (PBE)

Principal peaks in the range 10° ≤ 2θ ≤ 90°, in order of falling intensity:
2θ (°)	d/Å	Rel. int.
37.3	2.414	100
36.3	2.472	41
38.3	2.352	22
31.0	2.884	20
32.7	2.737	18
67.2	1.394	18
26.5	3.369	15
66.6	1.404	14
79.4	1.207	11
53.1	1.726	9

Crystal structure
a b c (Å): 4.829 4.829 13.565
angles (deg): 100.18 100.18 59.94
Sites, in units of the cell vectors:
Tb1 0.072 0.072 0.216
Tb2 0.928 0.928 0.784
Dy1 0.215 0.215 0.645
Dy2 0.310 0.310 0.929
Dy3 0.500 0.500 0.500
Dy4 0.690 0.690 0.071
Dy5 0.785 0.785 0.355
Ru1 0.000 0.000 0.000
Ru2 0.145 0.145 0.436
Ru3 0.384 0.384 0.151
Ru4 0.616 0.616 0.849
Ru5 0.855 0.855 0.564



(11)
Theoretical PXRD pattern
Compound: Tb3DyRu
Radiation: Cu Kα X-rays
Structure: a structure optimized by DFT (PBE)

Principal peaks in the range 10° ≤ 2θ ≤ 90°, in order of falling intensity:
2θ (°)	d/Å	Rel. int.
30.4	2.940	100
33.4	2.679	59
34.7	2.583	44
29.7	3.010	36
39.8	2.267	28
42.5	2.128	22
55.1	1.666	21
51.3	1.780	17
56.7	1.622	17
20.9	4.256	16

Crystal structure
a b c (Å): 7.261 7.261 8.133
angles (deg): 124.01 124.01 71.83
Sites, in units of the cell vectors:
Tb1 0.052 0.052 0.347
Tb2 0.054 0.448 0.206
Tb3 0.448 0.054 0.206
Tb4 0.552 0.946 0.794
Tb5 0.946 0.552 0.794
Tb6 0.948 0.948 0.653
Dy1 0.447 0.447 0.744
Dy2 0.553 0.553 0.256
Ru1 0.250 0.250 0.873
Ru2 0.750 0.750 0.127